# Ca2AcIn2Ga2
Calculated PXRD pattern, Cu Kα X-rays. Input: a PBE-relaxed structure.

Largest 10 diffraction maxima, by intensity, 2θ from 15° to 90°:
d 2.847, intensity 100.0
d 2.368, intensity 71.7
d 3.442, intensity 38.3
d 3.038, intensity 28.4
d 1.820, intensity 26.6
d 3.641, intensity 26.4
d 1.443, intensity 24.4
d 1.575, intensity 16.7
d 4.067, intensity 16.3
d 1.762, intensity 15.3

Structure:
abc: 10.899 10.899 10.899
angles: 25.09 25.09 25.09
Atoms (fractional coordinates):
Ca: 0.130 0.130 0.130
Ca: 0.870 0.870 0.870
Ac: 0.000 0.000 0.000
In: 0.251 0.251 0.251
In: 0.749 0.749 0.749
Ga: 0.393 0.393 0.393
Ga: 0.607 0.607 0.607

# CaAcGaSi
Calculated PXRD pattern, Cu Kα X-rays. Input: a PBE-relaxed structure.

Largest 10 diffraction maxima, by intensity, 2θ from 15° to 90°:
d 2.989, intensity 100.0
d 2.411, intensity 65.0
d 2.957, intensity 59.7
d 4.296, intensity 55.7
d 4.162, intensity 41.3
d 3.374, intensity 33.0
d 5.764, intensity 32.8
d 2.369, intensity 28.8
d 2.882, intensity 28.4
d 2.315, intensity 24.9

Structure:
abc: 4.162 6.211 6.211
angles: 43.76 90.00 90.00
Atoms (fractional coordinates):
Ca: 0.000 0.000 0.000
Ac: 0.500 0.277 0.277
Ga: 0.500 0.564 0.564
Si: 0.000 0.700 0.700

# CaAcGe2
Calculated PXRD pattern, Cu Kα X-rays. Input: a PBE-relaxed structure.

Largest 10 diffraction maxima, by intensity, 2θ from 15° to 90°:
d 2.733, intensity 100.0
d 3.048, intensity 97.8
d 3.191, intensity 72.2
d 2.369, intensity 71.6
d 2.956, intensity 60.8
d 2.872, intensity 59.4
d 3.607, intensity 54.4
d 2.123, intensity 44.3
d 2.095, intensity 37.3
d 1.511, intensity 31.3

Structure:
abc: 8.883 4.189 11.836
angles: 90.00 90.00 90.00
Atoms (fractional coordinates):
Ca: 0.009 0.250 0.112
Ca: 0.491 0.750 0.612
Ca: 0.509 0.250 0.388
Ca: 0.991 0.750 0.888
Ac: 0.128 0.750 0.363
Ac: 0.372 0.250 0.863
Ac: 0.628 0.750 0.137
Ac: 0.872 0.250 0.637
Ge: 0.161 0.750 0.678
Ge: 0.249 0.250 0.558
Ge: 0.251 0.750 0.058
Ge: 0.339 0.250 0.178
Ge: 0.661 0.750 0.822
Ge: 0.749 0.250 0.942
Ge: 0.751 0.750 0.442
Ge: 0.839 0.250 0.322